1.
# La2Dy2Tl3
Calculated XRD peak list, Cu Kα (λ = 1.5418 Å). Input: a DFT-relaxed cell (PBE, Alexandria).

Principal peaks in the range 15 to 90 degrees two-theta, in order of rising 2θ:
| two_theta | d (Å) | I (rel.) | hkl |
| --- | --- | --- | --- |
| 32.3 | 2.770 | 22 | 2 0 -2 |
| 33.2 | 2.701 | 100 | 0 2 0 |
| 47.0 | 1.933 | 15 | 2 2 -2 |
| 58.2 | 1.586 | 16 | 1 1 3 |
| 59.3 | 1.559 | 15 | 3 3 1 |
| 69.6 | 1.351 | 10 | 6 2 2 |

Atomic structure:
```
data_La2Dy2Tl3
_chemical_formula_sum 'La4 Dy4 Tl6'
_symmetry_space_group_name_H-M 'C 1 2/m 1'
_symmetry_Int_Tables_number 12
_cell_length_a 16.086
_cell_length_b 5.397
_cell_length_c 5.540
_cell_angle_alpha 90.00
_cell_angle_beta 110.10
_cell_angle_gamma 90.00
loop_
_symmetry_equiv_pos_as_xyz
'x,y,z'
'-x,-y,-z'
'-x,y,-z'
'x,-y,z'
'x+1/2,y+1/2,z'
'-x+1/2,-y+1/2,-z'
'-x+1/2,y+1/2,-z'
'x+1/2,-y+1/2,z'
loop_
_atom_site_label
_atom_site_fract_x
_atom_site_fract_y
_atom_site_fract_z
La1 0.125 0.000 0.125
Dy1 0.119 0.500 0.619
Tl1 0.000 0.000 0.500
Tl2 0.249 0.500 0.249
```

2.
# La6Dy2Tl
Calculated XRD peak list, Cu Kα (λ = 1.5418 Å). Input: a DFT-relaxed cell (PBE, Alexandria).

Principal peaks in the range 15 to 90 degrees two-theta, in order of rising 2θ:
| two_theta | d (Å) | I (rel.) | hkl |
| --- | --- | --- | --- |
| 27.6 | 3.228 | 38 | 1 1 4 |
| 29.8 | 2.998 | 37 | 2 2 1 |
| 30.6 | 2.919 | 100 | 2 0 -4 |
| 31.7 | 2.821 | 22 | 2 2 2 |
| 34.3 | 2.616 | 27 | 0 2 5 |
| 34.5 | 2.600 | 57 | 1 3 -3 |

Atomic structure:
```
data_La6Dy2Tl
_chemical_formula_sum 'La24 Dy8 Tl4'
_symmetry_space_group_name_H-M 'C 1 2/c 1'
_symmetry_Int_Tables_number 15
_cell_length_a 8.128
_cell_length_b 9.523
_cell_length_c 15.691
_cell_angle_alpha 90.00
_cell_angle_beta 94.01
_cell_angle_gamma 90.00
loop_
_symmetry_equiv_pos_as_xyz
'x,y,z'
'-x,-y,-z'
'-x,y,-z+1/2'
'x,-y,z+1/2'
'x+1/2,y+1/2,z'
'-x+1/2,-y+1/2,-z'
'-x+1/2,y+1/2,-z+1/2'
'x+1/2,-y+1/2,z+1/2'
loop_
_atom_site_label
_atom_site_fract_x
_atom_site_fract_y
_atom_site_fract_z
La1 0.053 0.163 0.032
La2 0.167 0.440 0.585
La3 0.178 0.388 0.338
Dy1 0.143 0.239 0.823
Tl1 0.000 0.079 0.250
```

3.
# LaDy2Tl
Calculated XRD peak list, Cu Kα (λ = 1.5418 Å). Input: a DFT-relaxed cell (PBE, Alexandria).

Principal peaks in the range 15 to 90 degrees two-theta, in order of rising 2θ:
| two_theta | d (Å) | I (rel.) | hkl |
| --- | --- | --- | --- |
| 26.2 | 3.401 | 21 | 1 1 -1 |
| 28.7 | 3.114 | 54 | 1 1 1 |
| 32.7 | 2.742 | 21 | 0 0 4 |
| 33.1 | 2.708 | 100 | 1 1 -3 |
| 36.6 | 2.455 | 29 | 0 2 0 |
| 37.3 | 2.414 | 28 | 2 0 -1 |

Atomic structure:
```
data_LaDy2Tl
_chemical_formula_sum 'La2 Dy4 Tl2'
_symmetry_space_group_name_H-M 'P 1 21/m 1'
_symmetry_Int_Tables_number 11
_cell_length_a 4.828
_cell_length_b 4.910
_cell_length_c 11.229
_cell_angle_alpha 90.00
_cell_angle_beta 102.38
_cell_angle_gamma 90.00
loop_
_symmetry_equiv_pos_as_xyz
'x,y,z'
'-x,-y,-z'
'-x,y+1/2,-z'
'x,-y+1/2,z'
loop_
_atom_site_label
_atom_site_fract_x
_atom_site_fract_y
_atom_site_fract_z
La1 0.193 0.250 0.384
Dy1 0.056 0.750 0.111
Dy2 0.437 0.750 0.875
Tl1 0.340 0.250 0.681
```